This entry pairs a crystal structure of PmGdRhAu with its calculated powder XRD pattern. Radiation: Cu Ka. Structure: a crystal structure in Alexandria, relaxed with GGA-PBE.
Neutral-atom scattering factors, no anomalous dispersion.

Structural model:
```
PmGdRhAu
1.0
0.0000 3.5815 3.5815
3.5815 0.0000 3.5815
3.5815 3.5815 0.0000
Pm Gd Rh Au
1 1 1 1
Cartesian
0.0000 0.0000 0.0000
3.5815 3.5815 3.5815
5.3723 5.3723 5.3723
1.7908 1.7908 1.7908
```

Principal peaks in the range 2θ = 5–70°, sorted by position:
2θ/deg	I (rel.)
21.5	5
35.4	100
41.8	3
51.0	18
56.0	1
63.6	37

This entry pairs a crystal structure of UZn4Au5 with its calculated powder XRD pattern. Radiation: Cu Ka. Structure: a crystal structure in Alexandria, relaxed with GGA-PBE.
Neutral-atom scattering factors, no anomalous dispersion.

Structural model:
```
UZn4Au5
1.0
3.1870 0.0000 0.0000
0.0000 3.1870 0.0000
0.0000 0.0000 17.1427
U Zn Au
1 4 5
Cartesian
0.0000 0.0000 0.0000
0.0000 0.0000 3.7657
0.0000 0.0000 6.9766
0.0000 0.0000 10.1661
0.0000 0.0000 13.3770
1.5935 1.5935 2.1760
1.5935 1.5935 5.3751
1.5935 1.5935 8.5713
1.5935 1.5935 11.7675
1.5935 1.5935 14.9667
```

Principal peaks in the range 2θ = 5–70°, sorted by position:
2θ/deg	I (rel.)
28.0	15
35.1	15
38.6	100
40.0	60
42.5	10
57.9	20

This entry pairs a crystal structure of Na4Zn2Sn5 with its calculated powder XRD pattern. Radiation: Cu Ka. Structure: a crystal structure in Alexandria, relaxed with GGA-PBE.
Neutral-atom scattering factors, no anomalous dispersion.

Structural model:
```
Na4Zn2Sn5
1.0
7.8886 0.0000 0.0000
0.0000 3.2402 0.0000
-0.5828 0.0000 10.6773
Na Zn Sn
4 2 5
Cartesian
0.9814 0.0000 4.2267
1.7538 0.0000 10.1158
5.5520 0.0000 0.5615
6.3244 0.0000 6.4506
0.3121 1.6201 1.3264
6.9937 1.6201 9.3509
1.1657 1.6201 7.3123
3.0809 1.6201 2.2148
3.6529 1.6201 5.3386
4.2248 1.6201 8.4625
6.1401 1.6201 3.3650
```

Principal peaks in the range 2θ = 5–70°, sorted by position:
2θ/deg	I (rel.)
27.5	60
34.7	50
34.9	100
44.9	30
45.0	59
68.4	44

This entry pairs a crystal structure of MgAgSe2N with its calculated powder XRD pattern. Radiation: Cu Ka. Structure: a crystal structure in Alexandria, relaxed with GGA-PBE.
Neutral-atom scattering factors, no anomalous dispersion.

Structural model:
```
MgAgSe2N
1.0
5.1965 0.0000 0.0000
0.0000 5.1965 0.0000
0.0000 0.0000 3.9871
Mg Ag Se N
1 1 2 1
Cartesian
0.0000 0.0000 0.0000
2.5982 2.5982 1.9936
0.0000 2.5982 0.0000
2.5982 0.0000 0.0000
0.0000 0.0000 1.9936
```

Principal peaks in the range 2θ = 5–70°, sorted by position:
2θ/deg	I (rel.)
28.2	35
33.2	100
34.5	64
49.6	22
58.3	26
61.0	32

This entry pairs a crystal structure of ErTmMg6 with its calculated powder XRD pattern. Radiation: Cu Ka. Structure: a crystal structure in Alexandria, relaxed with GGA-PBE.
Neutral-atom scattering factors, no anomalous dispersion.

Structural model:
```
ErTmMg6
1.0
5.0551 0.0000 0.0000
0.0000 3.6469 5.3995
0.0000 -3.6469 5.3995
Er Tm Mg
1 1 6
Cartesian
0.0000 0.0000 0.0000
2.5275 0.0000 2.7691
0.0000 0.0000 4.9537
0.0000 -1.5792 7.8726
0.0000 1.5792 7.8726
2.5275 -1.5777 5.6949
2.5275 1.5777 5.6949
2.5275 0.0000 8.6096
```

Principal peaks in the range 2θ = 5–70°, sorted by position:
2θ/deg	I (rel.)
14.7	63
22.9	56
24.1	44
32.9	31
34.6	100
35.5	25